No. 1
The following is a simulated X-ray diffraction stick pattern of Ti3Co20B6. It was derived from a structure optimized by DFT (PBE), using copper Kα.

Top 8 peaks for 10 to 90 degrees two-theta, low angle first:
2theta, I_rel
38.4, 221
42.2, 225
44.9, 1000
49.1, 187
51.5, 308
52.3, 133
77.1, 196
79.0, 119

Cell: 7.4215 7.4215 7.4215 Å, 60.00 60.00 60.00°
Fractional coordinates of all 29 atoms:
Ti  0.0000  0.0000  0.0000
Ti  0.2500  0.2500  0.2500
Ti  0.7500  0.7500  0.7500
Co  0.0000  0.0000  0.3418
Co  0.0000  0.0000  0.6582
Co  0.0000  0.3418  0.0000
Co  0.0000  0.3418  0.6582
Co  0.0000  0.6582  0.0000
Co  0.0000  0.6582  0.3418
Co  0.1479  0.6174  0.6174
Co  0.3418  0.0000  0.0000
Co  0.3418  0.0000  0.6582
Co  0.3418  0.6582  0.0000
Co  0.3826  0.3826  0.3826
Co  0.3826  0.3826  0.8521
Co  0.3826  0.8521  0.3826
Co  0.6174  0.1479  0.6174
Co  0.6174  0.6174  0.1479
Co  0.6174  0.6174  0.6174
Co  0.6582  0.0000  0.0000
Co  0.6582  0.0000  0.3418
Co  0.6582  0.3418  0.0000
Co  0.8521  0.3826  0.3826
B  0.2717  0.2717  0.7283
B  0.2717  0.7283  0.2717
B  0.2717  0.7283  0.7283
B  0.7283  0.2717  0.2717
B  0.7283  0.2717  0.7283
B  0.7283  0.7283  0.2717

No. 2
The following is a simulated X-ray diffraction stick pattern of NdTa3O9. It was derived from a structure optimized by DFT (PBE), using copper Kα.

Top 8 peaks for 10 to 90 degrees two-theta, low angle first:
2theta, I_rel
11.1, 170
22.3, 300
22.5, 635
31.9, 1000
32.1, 512
46.0, 313
57.1, 405
66.8, 180

Cell: 5.5803 8.8263 8.8845 Å, 101.51 108.26 108.40°
Fractional coordinates of all 26 atoms:
Nd  0.1738  0.3369  0.4977
Nd  0.8262  0.6631  0.5023
Ta  0.1652  0.5874  0.2414
Ta  0.1663  0.0821  0.7497
Ta  0.4879  0.2379  0.2356
Ta  0.5121  0.7621  0.7644
Ta  0.8337  0.9179  0.2503
Ta  0.8348  0.4126  0.7586
O  0.0000  0.0000  0.5000
O  0.0000  0.5000  0.0000
O  0.0050  0.2536  0.7313
O  0.1488  0.5737  0.7193
O  0.1741  0.0949  0.2674
O  0.3012  0.8997  0.7302
O  0.3328  0.1656  0.9968
O  0.3382  0.6510  0.5003
O  0.3542  0.4259  0.2729
O  0.4805  0.2493  0.7308
O  0.5195  0.7507  0.2692
O  0.6458  0.5741  0.7271
O  0.6618  0.3490  0.4997
O  0.6672  0.8344  0.0032
O  0.6988  0.1003  0.2698
O  0.8259  0.9051  0.7326
O  0.8512  0.4263  0.2807
O  0.9950  0.7464  0.2687

No. 3
The following is a simulated X-ray diffraction stick pattern of NdIn2Ni9. It was derived from a structure optimized by DFT (PBE), using copper Kα.

Top 8 peaks for 10 to 90 degrees two-theta, low angle first:
2theta, I_rel
34.2, 252
35.8, 225
37.0, 180
39.1, 1000
43.2, 283
43.6, 402
44.6, 736
45.1, 325

Cell: 8.2808 8.2808 4.8613 Å, 90.00 90.00 90.00°
Fractional coordinates of all 24 atoms:
Nd  0.0000  0.0000  0.0000
Nd  0.5000  0.5000  0.0000
In  0.1240  0.3760  0.0000
In  0.3760  0.8760  0.0000
In  0.6240  0.1240  0.0000
In  0.8760  0.6240  0.0000
Ni  0.0000  0.5000  0.5000
Ni  0.0644  0.2088  0.5000
Ni  0.1766  0.6766  0.2481
Ni  0.1766  0.6766  0.7519
Ni  0.2088  0.9356  0.5000
Ni  0.2912  0.4356  0.5000
Ni  0.3234  0.1766  0.2481
Ni  0.3234  0.1766  0.7519
Ni  0.4356  0.7088  0.5000
Ni  0.5000  0.0000  0.5000
Ni  0.5644  0.2912  0.5000
Ni  0.6766  0.8234  0.2481
Ni  0.6766  0.8234  0.7519
Ni  0.7088  0.5644  0.5000
Ni  0.7912  0.0644  0.5000
Ni  0.8234  0.3234  0.2481
Ni  0.8234  0.3234  0.7519
Ni  0.9356  0.7912  0.5000